# 1
# Ho3ZrH8
Theoretical powder diffraction line list, λ = 1.5418 Å (Cu Kα). Input: DFT lattice parameters and positions (GGA-PBE).
Lines closer than 0.1° are merged.

Atomic structure:
```
data_Ho3ZrH8
_cell_length_a 5.048
_cell_length_b 5.048
_cell_length_c 5.048
_cell_angle_alpha 90.00
_cell_angle_beta 90.00
_cell_angle_gamma 90.00
_symmetry_space_group_name_H-M 'P m -3 m'
_symmetry_Int_Tables_number 221
_symmetry_space_group_name_Hall '-P 4 2 3'
loop_
_atom_site_label
_atom_site_type_symbol
_atom_site_fract_x
_atom_site_fract_y
_atom_site_fract_z
_atom_site_occupancy
Ho1 Ho 0.000 0.000 0.500 1
Zr1 Zr 0.500 0.500 0.500 1
H1 H 0.260 0.260 0.260 1
```

Peak list (12 most intense, 10 to 90 degrees two-theta, low angle first)
2θ (°)	I (rel.)	index
17.6	4	1 0 0
24.9	3	1 1 0
30.7	100	1 1 1
35.6	49	2 0 0
39.9	2	2 1 0
43.9	2	2 1 1
51.2	37	2 2 0
60.9	43	3 1 1
63.9	12	2 2 2
75.3	6	4 0 0
83.5	18	3 3 1
86.2	16	4 2 0

---

# 2
# HoZrH2
Theoretical powder diffraction line list, λ = 1.5418 Å (Cu Kα). Input: DFT lattice parameters and positions (GGA-PBE).
Lines closer than 0.1° are merged.

Atomic structure:
```
data_HoZrH2
_cell_length_a 3.3471
_cell_length_b 3.3471
_cell_length_c 16.7677
_cell_angle_alpha 90.00
_cell_angle_beta 90.00
_cell_angle_gamma 120.00
_symmetry_space_group_name_H-M 'R 3 m'
_symmetry_Int_Tables_number 160
_symmetry_space_group_name_Hall 'R 3 -2"'
loop_
_atom_site_label
_atom_site_type_symbol
_atom_site_fract_x
_atom_site_fract_y
_atom_site_fract_z
_atom_site_occupancy
Ho1 Ho 0.0000 0.0000 0.0000 1
Zr1 Zr 0.0000 0.0000 0.8220 1
H1 H 0.0000 0.0000 0.4199 1
H2 H 0.0000 0.0000 0.5689 1
```

Peak list (12 most intense, 10 to 90 degrees two-theta, low angle first)
2θ (°)	I (rel.)	index
15.9	18	0 0 3
31.3	100	1 0 1
32.0	41	0 0 6
32.7	32	0 1 2
37.7	36	1 0 4
41.2	59	0 1 5
49.4	22	1 0 7
54.9	29	1 1 0
64.5	13	0 2 1
64.9	32	1 1 6
69.7	13	0 1 11
70.8	12	2 0 5

---

# 3
# H4I
Theoretical powder diffraction line list, λ = 1.5418 Å (Cu Kα). Input: DFT lattice parameters and positions (GGA-PBE).
Lines closer than 0.1° are merged.

Atomic structure:
```
data_H4I
_cell_length_a 5.651
_cell_length_b 5.651
_cell_length_c 6.139
_cell_angle_alpha 90.00
_cell_angle_beta 90.00
_cell_angle_gamma 90.00
_symmetry_space_group_name_H-M 'I 4/m m m'
_symmetry_Int_Tables_number 139
_symmetry_space_group_name_Hall '-I 4 2'
loop_
_atom_site_label
_atom_site_type_symbol
_atom_site_fract_x
_atom_site_fract_y
_atom_site_fract_z
_atom_site_occupancy
H1 H 0.000 0.430 0.000 1
I1 I 0.000 0.000 0.000 1
```

Peak list (12 most intense, 10 to 90 degrees two-theta, low angle first)
2θ (°)	I (rel.)	index
21.4	100	1 0 1
22.2	40	1 1 0
29.1	13	0 0 2
31.7	20	2 0 0
36.9	22	1 1 2
38.5	42	2 1 1
43.5	16	2 0 2
47.2	12	1 0 3
50.7	10	3 0 1
58.0	13	2 1 3
59.9	11	3 1 2
61.0	11	3 2 1

---

# 4
# HI8
Theoretical powder diffraction line list, λ = 1.5418 Å (Cu Kα). Input: DFT lattice parameters and positions (GGA-PBE).
Lines closer than 0.1° are merged.

Atomic structure:
```
data_HI8
_cell_length_a 6.774
_cell_length_b 8.585
_cell_length_c 8.591
_cell_angle_alpha 71.53
_cell_angle_beta 86.30
_cell_angle_gamma 82.54
_symmetry_space_group_name_H-M 'P -1'
_symmetry_Int_Tables_number 2
loop_
_symmetry_equiv_pos_as_xyz
'x,y,z'
'-x,-y,-z'
loop_
_atom_site_label
_atom_site_type_symbol
_atom_site_fract_x
_atom_site_fract_y
_atom_site_fract_z
_atom_site_occupancy
H1 H 0.000 0.000 0.000 1
I1 I 0.086 0.880 0.221 1
I2 I 0.221 0.364 0.726 1
I3 I 0.297 0.155 0.269 1
I4 I 0.371 0.653 0.759 1
```

Peak list (12 most intense, 10 to 90 degrees two-theta, low angle first)
2θ (°)	I (rel.)	index
18.1	19	1 -1 0
19.5	99	-1 1 1
21.8	100	0 0 2
22.7	79	1 -1 1
25.8	14	0 2 2
32.6	59	1 3 1
34.9	37	2 2 2
39.4	20	1 3 -1
39.8	17	1 3 3
40.6	27	1 -1 3
43.3	17	0 4 2
44.5	12	0 0 4

---

# 5
# InHI4
Theoretical powder diffraction line list, λ = 1.5418 Å (Cu Kα). Input: DFT lattice parameters and positions (GGA-PBE).
Lines closer than 0.1° are merged.

Atomic structure:
```
data_InHI4
_cell_length_a 6.326
_cell_length_b 27.732
_cell_length_c 7.137
_cell_angle_alpha 90.00
_cell_angle_beta 98.51
_cell_angle_gamma 90.00
_symmetry_space_group_name_H-M 'C 1 2/c 1'
_symmetry_Int_Tables_number 15
loop_
_symmetry_equiv_pos_as_xyz
'x,y,z'
'-x,-y,-z'
'-x,y,-z+1/2'
'x,-y,z+1/2'
'x+1/2,y+1/2,z'
'-x+1/2,-y+1/2,-z'
'-x+1/2,y+1/2,-z+1/2'
'x+1/2,-y+1/2,z+1/2'
loop_
_atom_site_label
_atom_site_type_symbol
_atom_site_fract_x
_atom_site_fract_y
_atom_site_fract_z
_atom_site_occupancy
In1 In 0.000 0.105 0.250 1
H1 H 0.000 0.329 0.750 1
I1 I 0.236 0.441 0.478 1
I2 I 0.246 0.172 0.064 1
```

Peak list (12 most intense, 10 to 90 degrees two-theta, low angle first)
2θ (°)	I (rel.)	index
12.8	33	0 4 0
14.1	52	0 2 1
20.0	100	1 3 -1
20.6	26	1 1 1
23.8	82	1 5 -1
25.7	29	0 8 0
25.9	76	1 5 1
28.6	37	2 0 0
35.4	37	2 0 -2
36.3	31	0 8 2
38.8	33	2 8 0
47.4	28	1 13 1

---

# 6
# InH2I
Theoretical powder diffraction line list, λ = 1.5418 Å (Cu Kα). Input: DFT lattice parameters and positions (GGA-PBE).
Lines closer than 0.1° are merged.

Atomic structure:
```
data_InH2I
_cell_length_a 5.8273
_cell_length_b 5.8273
_cell_length_c 9.0531
_cell_angle_alpha 90.00
_cell_angle_beta 90.00
_cell_angle_gamma 120.00
_symmetry_space_group_name_H-M 'P 63/m m c'
_symmetry_Int_Tables_number 194
_symmetry_space_group_name_Hall '-P 6c 2c'
loop_
_atom_site_label
_atom_site_type_symbol
_atom_site_fract_x
_atom_site_fract_y
_atom_site_fract_z
_atom_site_occupancy
In1 In 0.3333 0.6667 0.2500 1
H1 H 0.3333 0.6667 0.7086 1
I1 I 0.0000 0.0000 0.2500 1
```

Peak list (12 most intense, 10 to 90 degrees two-theta, low angle first)
2θ (°)	I (rel.)	index
17.6	23	1 0 0
19.6	83	0 0 2
20.1	74	1 0 1
26.5	17	1 0 2
30.7	82	1 1 0
34.6	19	1 0 3
36.7	100	1 1 2
37.0	16	2 0 1
51.1	37	1 1 4
54.5	18	3 0 0
58.5	25	3 0 2
67.5	16	2 2 2